Calculated X-ray powder pattern
Compound: Y3Te4
Radiation: Cu Kα (λ = 1.5418 Å)
Structure: a cell relaxed with PBE
Peak positions follow from Bragg's law for the DFT cell and can differ from measured ones.

Most intense lines, 2θ = 15–90°, most intense first:
- 2θ = 28.98°, intensity 100
- 2θ = 41.76°, intensity 72
- 2θ = 29.42°, intensity 48
- 2θ = 51.63°, intensity 39
- 2θ = 41.44°, intensity 37
- 2θ = 75.81°, intensity 24
- 2θ = 25.15°, intensity 24
- 2θ = 68.03°, intensity 17
- 2θ = 68.26°, intensity 16
- 2θ = 68.95°, intensity 16

Atomic structure:
```
Y3Te4
1.0
-3.0815 3.0815 6.0727
3.0815 -3.0815 6.0727
3.0815 3.0815 -6.0727
Y Te
3 4
direct
0.0000 0.0000 0.0000
0.2500 0.7500 0.5000
0.7500 0.2500 0.5000
0.0000 0.5000 0.5000
0.2566 0.2566 0.0000
0.5000 0.0000 0.5000
0.7434 0.7434 0.0000
```